[1]
Calculated powder diffraction line list
Compound: Ho4Sn2H
Radiation: Cu Kα (λ = 1.5418 Å)
Structure: a crystal structure in Alexandria, relaxed with GGA-PBE
Kinematic intensities with the Lorentz-polarization factor, no thermal factor.

Cell and atoms:
```
data_Ho4Sn2H
_cell_length_a 6.2485
_cell_length_b 6.4664
_cell_length_c 9.0448
_cell_angle_alpha 90.00
_cell_angle_beta 109.56
_cell_angle_gamma 90.00
_symmetry_space_group_name_H-M 'P 1 21/m 1'
_symmetry_Int_Tables_number 11
loop_
_symmetry_equiv_pos_as_xyz
'x,y,z'
'-x,-y,-z'
'-x,y+1/2,-z'
'x,-y+1/2,z'
loop_
_atom_site_label
_atom_site_fract_x
_atom_site_fract_y
_atom_site_fract_z
_atom_site_occupancy
Ho1 0.0371 0.0011 0.2943 1
Ho2 0.3675 0.7500 0.0578 1
Ho3 0.4311 0.7500 0.6491 1
Sn1 0.1880 0.2500 0.0304 1
Sn2 0.3359 0.2500 0.5987 1
H1 0.2118 0.7500 0.7968 1
```

Main lines, sorted by position (2θ from 15° to 90°):
| h k l | d_spacing | I_rel |
| --- | --- | --- |
| 1 0 2 | 3.007 | 30.8 |
| 2 0 -2 | 2.923 | 58.9 |
| 0 0 3 | 2.836 | 100.0 |
| 2 1 -2 | 2.663 | 15.0 |
| 0 2 2 | 2.576 | 36.3 |
| 1 2 -2 | 2.557 | 47.4 |
| 1 0 -4 | 2.260 | 19.4 |
| 3 2 -2 | 1.740 | 18.1 |


[2]
Calculated powder diffraction line list
Compound: TbHo3H8
Radiation: Cu Kα (λ = 1.5418 Å)
Structure: a crystal structure in Alexandria, relaxed with GGA-PBE
Kinematic intensities with the Lorentz-polarization factor, no thermal factor.

Cell and atoms:
```
data_TbHo3H8
_cell_length_a 5.1597
_cell_length_b 5.1597
_cell_length_c 5.1597
_cell_angle_alpha 90.00
_cell_angle_beta 90.00
_cell_angle_gamma 90.00
_symmetry_space_group_name_H-M 'P m -3 m'
_symmetry_Int_Tables_number 221
_symmetry_space_group_name_Hall '-P 4 2 3'
loop_
_atom_site_label
_atom_site_fract_x
_atom_site_fract_y
_atom_site_fract_z
_atom_site_occupancy
Tb1 0.0000 0.0000 0.0000 1
Ho1 0.0000 0.5000 0.5000 1
H1 0.2521 0.2521 0.2521 1
```

Main lines, sorted by position (2θ from 15° to 90°):
| h k l | d_spacing | I_rel |
| --- | --- | --- |
| 1 1 1 | 2.979 | 100.0 |
| 2 0 0 | 2.580 | 49.0 |
| 2 2 0 | 1.824 | 37.5 |
| 3 1 1 | 1.556 | 43.7 |
| 2 2 2 | 1.489 | 12.4 |
| 4 0 0 | 1.290 | 5.9 |
| 3 3 1 | 1.184 | 17.9 |
| 4 2 0 | 1.154 | 16.5 |


[3]
Calculated powder diffraction line list
Compound: Tb4Ho2Tl3H2
Radiation: Cu Kα (λ = 1.5418 Å)
Structure: a crystal structure in Alexandria, relaxed with GGA-PBE
Kinematic intensities with the Lorentz-polarization factor, no thermal factor.

Cell and atoms:
```
data_Tb4Ho2Tl3H2
_cell_length_a 4.7404
_cell_length_b 4.7404
_cell_length_c 24.5893
_cell_angle_alpha 90.00
_cell_angle_beta 90.00
_cell_angle_gamma 90.00
_symmetry_space_group_name_H-M 'I 4/m m m'
_symmetry_Int_Tables_number 139
_symmetry_space_group_name_Hall '-I 4 2'
loop_
_atom_site_label
_atom_site_fract_x
_atom_site_fract_y
_atom_site_fract_z
_atom_site_occupancy
Tb1 0.0000 0.5000 0.0852 1
Ho1 0.0000 0.0000 0.1982 1
Tl1 0.0000 0.0000 0.3250 1
Tl2 0.0000 0.0000 0.5000 1
H1 0.0000 0.0000 0.1037 1
```

Main lines, sorted by position (2θ from 15° to 90°):
| h k l | d_spacing | I_rel |
| --- | --- | --- |
| 1 0 1 | 4.655 | 18.2 |
| 1 1 2 | 3.234 | 36.3 |
| 1 1 4 | 2.943 | 20.0 |
| 1 0 7 | 2.822 | 18.5 |
| 1 1 6 | 2.595 | 100.0 |
| 2 0 0 | 2.370 | 55.8 |
| 2 2 0 | 1.676 | 20.3 |
| 3 1 6 | 1.408 | 30.6 |


[4]
Calculated powder diffraction line list
Compound: HoTcH4
Radiation: Cu Kα (λ = 1.5418 Å)
Structure: a crystal structure in Alexandria, relaxed with GGA-PBE
Kinematic intensities with the Lorentz-polarization factor, no thermal factor.

Cell and atoms:
```
data_HoTcH4
_cell_length_a 8.7535
_cell_length_b 5.9746
_cell_length_c 4.2265
_cell_angle_alpha 90.00
_cell_angle_beta 90.00
_cell_angle_gamma 90.00
_symmetry_space_group_name_H-M 'A m a 2'
_symmetry_Int_Tables_number 40
loop_
_symmetry_equiv_pos_as_xyz
'x,y,z'
'-x,-y,z'
'-x+1/2,y,z'
'x+1/2,-y,z'
'x,y+1/2,z+1/2'
'-x,-y+1/2,z+1/2'
'-x+1/2,y+1/2,z+1/2'
'x+1/2,-y+1/2,z+1/2'
loop_
_atom_site_label
_atom_site_fract_x
_atom_site_fract_y
_atom_site_fract_z
_atom_site_occupancy
Ho1 0.0000 0.0000 0.0000 1
Tc1 0.2500 0.1496 0.4999 1
H1 0.0513 0.1431 0.4999 1
H2 0.2500 0.4061 0.7376 1
H3 0.2500 0.4077 0.2649 1
```

Main lines, sorted by position (2θ from 15° to 90°):
| h k l | d_spacing | I_rel |
| --- | --- | --- |
| 0 1 1 | 3.450 | 19.6 |
| 1 1 1 | 3.210 | 22.3 |
| 2 1 1 | 2.710 | 100.0 |
| 2 2 0 | 2.467 | 29.1 |
| 4 0 0 | 2.188 | 19.9 |
| 0 0 2 | 2.113 | 17.5 |
| 0 3 1 | 1.802 | 20.8 |
| 4 3 1 | 1.391 | 17.4 |


[5]
Calculated powder diffraction line list
Compound: Ho4Te5H2
Radiation: Cu Kα (λ = 1.5418 Å)
Structure: a crystal structure in Alexandria, relaxed with GGA-PBE
Kinematic intensities with the Lorentz-polarization factor, no thermal factor.

Cell and atoms:
```
data_Ho4Te5H2
_cell_length_a 21.0174
_cell_length_b 4.1850
_cell_length_c 8.4611
_cell_angle_alpha 90.00
_cell_angle_beta 103.94
_cell_angle_gamma 90.00
_symmetry_space_group_name_H-M 'C 1 2/m 1'
_symmetry_Int_Tables_number 12
loop_
_symmetry_equiv_pos_as_xyz
'x,y,z'
'-x,-y,-z'
'-x,y,-z'
'x,-y,z'
'x+1/2,y+1/2,z'
'-x+1/2,-y+1/2,-z'
'-x+1/2,y+1/2,-z'
'x+1/2,-y+1/2,z'
loop_
_atom_site_label
_atom_site_fract_x
_atom_site_fract_y
_atom_site_fract_z
_atom_site_occupancy
Ho1 0.0417 0.0000 0.2700 1
Ho2 0.1696 0.5000 0.5282 1
Te1 0.0000 0.5000 0.0000 1
Te2 0.0940 0.0000 0.6593 1
Te3 0.1891 0.0000 0.2769 1
H1 0.0754 0.5000 0.3529 1
```

Main lines, sorted by position (2θ from 15° to 90°):
| h k l | d_spacing | I_rel |
| --- | --- | --- |
| 1 1 0 | 4.101 | 45.1 |
| 1 1 1 | 3.599 | 34.9 |
| 3 1 -1 | 3.432 | 52.3 |
| 1 1 -2 | 2.974 | 100.0 |
| 1 1 2 | 2.833 | 60.7 |
| 8 0 -1 | 2.620 | 34.5 |
| 7 1 -1 | 2.429 | 63.1 |
| 0 2 0 | 2.093 | 44.8 |


[6]
Calculated powder diffraction line list
Compound: Ho3TlH
Radiation: Cu Kα (λ = 1.5418 Å)
Structure: a crystal structure in Alexandria, relaxed with GGA-PBE
Kinematic intensities with the Lorentz-polarization factor, no thermal factor.

Cell and atoms:
```
data_Ho3TlH
_cell_length_a 7.2046
_cell_length_b 21.5599
_cell_length_c 6.3084
_cell_angle_alpha 90.00
_cell_angle_beta 90.00
_cell_angle_gamma 90.00
_symmetry_space_group_name_H-M 'C m c e'
_symmetry_Int_Tables_number 64
_symmetry_space_group_name_Hall '-C 2ac 2'
loop_
_atom_site_label
_atom_site_fract_x
_atom_site_fract_y
_atom_site_fract_z
_atom_site_occupancy
Ho1 0.0000 0.0378 0.2412 1
Ho2 0.0000 0.2406 0.5238 1
Ho3 0.2500 0.1042 0.7500 1
Tl1 0.2500 0.1546 0.2500 1
H1 0.0000 0.0578 0.8905 1
```

Main lines, sorted by position (2θ from 15° to 90°):
| h k l | d_spacing | I_rel |
| --- | --- | --- |
| 0 0 2 | 3.154 | 26.1 |
| 0 2 2 | 3.027 | 25.0 |
| 2 4 0 | 2.995 | 100.0 |
| 0 4 2 | 2.722 | 31.2 |
| 2 4 1 | 2.706 | 64.2 |
| 0 8 1 | 2.478 | 51.4 |
| 2 0 2 | 2.372 | 32.4 |
| 2 2 2 | 2.318 | 36.0 |


[7]
Calculated powder diffraction line list
Compound: Ho2Tm4Tl3H2
Radiation: Cu Kα (λ = 1.5418 Å)
Structure: a crystal structure in Alexandria, relaxed with GGA-PBE
Kinematic intensities with the Lorentz-polarization factor, no thermal factor.

Cell and atoms:
```
data_Ho2Tm4Tl3H2
_cell_length_a 4.6877
_cell_length_b 4.6877
_cell_length_c 24.2007
_cell_angle_alpha 90.00
_cell_angle_beta 90.00
_cell_angle_gamma 90.00
_symmetry_space_group_name_H-M 'I 4/m m m'
_symmetry_Int_Tables_number 139
_symmetry_space_group_name_Hall '-I 4 2'
loop_
_atom_site_label
_atom_site_fract_x
_atom_site_fract_y
_atom_site_fract_z
_atom_site_occupancy
Ho1 0.0000 0.0000 0.1965 1
Tm1 0.0000 0.5000 0.0839 1
Tl1 0.0000 0.0000 0.3260 1
Tl2 0.0000 0.0000 0.5000 1
H1 0.0000 0.0000 0.1006 1
```

Main lines, sorted by position (2θ from 15° to 90°):
| h k l | d_spacing | I_rel |
| --- | --- | --- |
| 1 0 1 | 4.602 | 16.6 |
| 1 1 2 | 3.197 | 35.4 |
| 1 1 4 | 2.907 | 16.8 |
| 1 0 7 | 2.782 | 16.9 |
| 1 1 6 | 2.561 | 100.0 |
| 2 0 0 | 2.344 | 51.4 |
| 2 2 0 | 1.657 | 17.9 |
| 3 1 6 | 1.391 | 34.4 |


[8]
Calculated powder diffraction line list
Compound: Ho4Tm2H
Radiation: Cu Kα (λ = 1.5418 Å)
Structure: a crystal structure in Alexandria, relaxed with GGA-PBE
Kinematic intensities with the Lorentz-polarization factor, no thermal factor.

Cell and atoms:
```
data_Ho4Tm2H
_cell_length_a 4.7880
_cell_length_b 4.7880
_cell_length_c 16.8916
_cell_angle_alpha 90.00
_cell_angle_beta 90.00
_cell_angle_gamma 90.00
_symmetry_space_group_name_H-M 'I 4/m m m'
_symmetry_Int_Tables_number 139
_symmetry_space_group_name_Hall '-I 4 2'
loop_
_atom_site_label
_atom_site_fract_x
_atom_site_fract_y
_atom_site_fract_z
_atom_site_occupancy
Ho1 0.0000 0.0000 0.1491 1
Ho2 0.0000 0.5000 0.0000 1
Tm1 0.0000 0.0000 0.3525 1
H1 0.0000 0.0000 0.0000 1
```

Main lines, sorted by position (2θ from 15° to 90°):
| h k l | d_spacing | I_rel |
| --- | --- | --- |
| 1 1 2 | 3.143 | 54.9 |
| 0 0 6 | 2.815 | 27.0 |
| 1 1 4 | 2.641 | 100.0 |
| 2 0 0 | 2.394 | 48.4 |
| 2 0 6 | 1.824 | 30.6 |
| 1 1 10 | 1.511 | 23.0 |
| 3 1 4 | 1.425 | 30.2 |
| 3 1 10 | 1.127 | 18.3 |